Structure and theoretical powder diffractogram of LiMnF5 (a DFT-relaxed cell (PBE+U, the Materials Project); copper Kα).
Kinematic intensities with the Lorentz-polarization factor, no thermal factor.

Crystal structure
```
LiMnF5
1.0
7.3714 0.0000 0.0000
0.0000 6.3933 0.0000
-3.6440 0.0000 7.4052
Li Mn F
4 4 20
Cartesian
-1.8108 0.1432 7.4021 Li
0.0112 3.0535 3.6995 Li
3.7163 3.3398 3.7057 Li
5.5383 6.2501 0.0031 Li
-1.8220 0.0000 3.7026 Mn
0.0000 3.1966 0.0000 Mn
1.8637 0.0000 3.7026 Mn
3.6857 3.1966 0.0000 Mn
0.3516 1.4194 0.1492 F
-1.4704 1.7773 3.8518 F
-0.0590 3.3689 1.7999 F
-1.8810 6.2210 5.5025 F
1.8430 3.7120 0.0249 F
0.0210 5.8779 3.7275 F
0.0562 3.3484 5.6036 F
1.8782 6.2415 1.9011 F
-0.3202 1.4178 7.2833 F
1.5018 1.7788 3.5807 F
2.2256 4.6145 3.8244 F
4.0476 4.9755 0.1218 F
1.8493 0.1518 5.5041 F
3.6713 3.0449 1.8015 F
3.7064 0.5153 3.6777 F
1.8844 2.6813 7.3803 F
5.6084 0.1723 1.9027 F
3.7864 3.0244 5.6053 F
5.1978 4.6160 3.5534 F
3.3758 4.9739 7.2560 F
```

Principal peaks in the range 2θ from 15° to 90°, in order of falling intensity:
- 18.33 deg, I = 100
- 27.93 deg, I = 75
- 24.04 deg, I = 42
- 26.96 deg, I = 21
- 27.09 deg, I = 20
- 57.71 deg, I = 19
- 49.40 deg, I = 19
- 49.22 deg, I = 18
- 44.24 deg, I = 17
- 49.46 deg, I = 14
- 39.13 deg, I = 12
- 64.82 deg, I = 9

Structure and theoretical powder diffractogram of LiMn2F5 (a DFT-relaxed cell (PBE+U, the Materials Project); copper Kα).
Kinematic intensities with the Lorentz-polarization factor, no thermal factor.

Crystal structure
```
LiMn2F5
1.0
8.6911 0.0000 0.0000
0.0000 6.7423 0.0000
0.0000 0.0000 8.1217
Li Mn F
4 8 20
Cartesian
1.5894 1.6856 1.3484 Li
2.7562 5.0567 5.4093 Li
5.9349 1.6856 2.7124 Li
7.1018 5.0567 6.7733 Li
0.0000 0.0000 4.0609 Mn
0.0000 3.3711 4.0609 Mn
1.4762 5.0567 0.8294 Mn
2.8694 1.6856 4.8903 Mn
4.3456 0.0000 0.0000 Mn
4.3456 3.3711 0.0000 Mn
5.8217 5.0567 3.2314 Mn
7.2149 1.6856 7.2923 Mn
0.0783 1.6856 0.3585 F
0.6705 5.0567 2.8096 F
1.0558 1.6856 3.1935 F
1.7961 3.4485 5.1639 F
1.7961 6.6649 5.1639 F
2.5494 0.0774 1.1030 F
2.5494 3.2937 1.1030 F
3.2897 5.0567 7.2544 F
3.6750 1.6856 6.8704 F
4.2672 5.0567 4.4194 F
4.4239 1.6856 3.7023 F
5.0161 5.0567 1.2513 F
5.4014 1.6856 0.8674 F
6.1417 3.4485 7.0187 F
6.1417 6.6649 7.0187 F
6.8950 0.0774 2.9579 F
6.8950 3.2937 2.9579 F
7.6353 5.0567 4.9282 F
8.0206 1.6856 5.3122 F
8.6128 5.0567 7.7632 F
```

Principal peaks in the range 2θ from 15° to 90°, in order of falling intensity:
- 30.50 deg, I = 100
- 19.93 deg, I = 67
- 24.19 deg, I = 61
- 40.52 deg, I = 55
- 21.89 deg, I = 52
- 35.47 deg, I = 50
- 53.73 deg, I = 35
- 61.05 deg, I = 33
- 30.12 deg, I = 33
- 23.21 deg, I = 27
- 54.43 deg, I = 26
- 44.15 deg, I = 24

Structure and theoretical powder diffractogram of LiMnF3 (a DFT-relaxed cell (PBE+U, the Materials Project); copper Kα).
Kinematic intensities with the Lorentz-polarization factor, no thermal factor.

Crystal structure
```
LiMnF3
1.0
5.4259 0.0000 0.0000
-2.7129 4.6989 0.0000
0.0000 0.0000 10.4854
Li Mn F
4 4 12
Cartesian
0.0000 3.1326 0.8683 Li
0.0000 3.1326 4.3744 Li
2.7129 1.5663 6.1110 Li
2.7129 1.5663 9.6172 Li
0.0000 0.0000 2.6214 Mn
0.0000 0.0000 7.8641 Mn
0.0000 3.1326 7.8641 Mn
2.7129 1.5663 2.6214 Mn
-0.8894 1.5820 6.6976 F
-1.7876 3.1377 9.0305 F
0.8894 1.5820 9.0305 F
-0.8982 4.6782 6.6976 F
1.8147 0.0207 3.7878 F
0.9253 1.5612 1.4549 F
1.7876 3.1377 6.6976 F
0.8982 4.6782 9.0305 F
3.6111 0.0207 1.4549 F
1.8235 3.1170 3.7878 F
4.5005 1.5612 3.7878 F
3.6023 3.1170 1.4549 F
```

Principal peaks in the range 2θ from 15° to 90°, in order of falling intensity:
- 16.91 deg, I = 100
- 48.28 deg, I = 54
- 20.71 deg, I = 46
- 37.32 deg, I = 44
- 58.97 deg, I = 31
- 42.16 deg, I = 27
- 34.14 deg, I = 27
- 31.91 deg, I = 23
- 63.30 deg, I = 21
- 61.82 deg, I = 15
- 33.02 deg, I = 13
- 25.46 deg, I = 13

Structure and theoretical powder diffractogram of Li3MnF5 (a DFT-relaxed cell (PBE+U, the Materials Project); copper Kα).
Kinematic intensities with the Lorentz-polarization factor, no thermal factor.

Crystal structure
```
Li3MnF5
1.0
5.7884 0.0000 0.0000
0.0000 5.7884 0.0000
0.0000 0.0000 11.2477
Li Mn F
12 4 20
Cartesian
0.1407 0.9638 0.0000 Li
0.4797 1.9033 5.9178 Li
0.9638 5.6478 8.4358 Li
1.2678 2.5668 3.3228 Li
1.9033 5.3087 3.1059 Li
2.5668 4.5206 0.5109 Li
3.2216 1.2678 6.1347 Li
3.8852 0.4797 8.7297 Li
4.5206 3.2216 8.9466 Li
4.8246 0.1407 2.8119 Li
5.3087 3.8852 0.2940 Li
5.6478 4.8246 5.6238 Li
1.6398 2.8214 9.2406 Mn
2.8214 4.1487 6.4287 Mn
2.9671 1.6398 0.8049 Mn
4.1487 2.9671 3.6168 Mn
0.0754 4.4440 9.6073 F
0.1699 4.3479 3.6515 F
0.8807 3.3546 7.2575 F
1.1870 2.8424 0.1149 F
1.3444 0.0754 1.1715 F
1.4405 0.1699 6.4635 F
2.1359 2.5596 5.0731 F
2.4339 0.8807 10.0694 F
2.5596 3.6525 2.2611 F
2.8424 4.6015 8.5507 F
2.9461 1.1870 2.9268 F
3.2289 2.1359 7.8850 F
3.3546 4.9077 4.4456 F
3.6525 3.2289 10.6969 F
4.3479 5.6185 0.8396 F
4.4440 5.7131 6.7954 F
4.6015 2.9461 5.7387 F
4.9077 2.4339 1.6336 F
5.6185 1.4405 9.2754 F
5.7131 1.3444 3.9835 F
```

Principal peaks in the range 2θ from 15° to 90°, in order of falling intensity:
- 15.31 deg, I = 100
- 17.23 deg, I = 80
- 38.28 deg, I = 77
- 23.12 deg, I = 66
- 44.26 deg, I = 61
- 46.04 deg, I = 50
- 42.43 deg, I = 41
- 50.52 deg, I = 34
- 49.97 deg, I = 31
- 22.04 deg, I = 30
- 31.82 deg, I = 30
- 55.54 deg, I = 29

Structure and theoretical powder diffractogram of LiMnF3 (a DFT-relaxed cell (PBE+U, the Materials Project); copper Kα).
Kinematic intensities with the Lorentz-polarization factor, no thermal factor.

Crystal structure
```
LiMnF3
1.0
3.2425 0.0000 0.0000
0.0000 3.7926 5.1762
0.0000 -3.7926 5.1762
Li Mn F
2 2 6
Cartesian
0.0000 0.0000 0.0000 Li
0.0000 0.0000 5.0950 Li
1.6212 -1.8825 7.7545 Mn
1.6212 1.8825 7.7545 Mn
0.0000 -2.4311 3.8502 F
0.0000 -2.4437 6.5065 F
0.0000 2.4311 3.8502 F
0.0000 2.4437 6.5065 F
1.6212 0.0000 3.7437 F
1.6212 0.0000 6.6030 F
```

Principal peaks in the range 2θ from 15° to 90°, in order of falling intensity:
- 17.13 deg, I = 100
- 51.18 deg, I = 66
- 29.19 deg, I = 59
- 32.59 deg, I = 49
- 23.46 deg, I = 47
- 40.54 deg, I = 29
- 44.81 deg, I = 24
- 31.22 deg, I = 18
- 59.20 deg, I = 16
- 56.79 deg, I = 15
- 36.58 deg, I = 14
- 56.19 deg, I = 14

Structure and theoretical powder diffractogram of Li3MnF6 (a DFT-relaxed cell (PBE+U, the Materials Project); copper Kα).
Kinematic intensities with the Lorentz-polarization factor, no thermal factor.

Crystal structure
```
Li3MnF6
1.0
5.9068 0.0000 0.0000
-0.1925 6.1098 0.0000
-0.0170 -0.0985 6.1713
Li Mn F
6 2 12
Cartesian
0.2783 1.5850 0.4058 Li
1.2996 5.7640 2.8253 Li
2.4870 2.6330 4.7369 Li
3.2103 3.3784 1.4344 Li
4.3977 0.2473 3.3460 Li
5.4190 4.4264 5.7654 Li
-0.1048 3.0057 3.0856 Mn
2.9534 0.0000 0.0000 Mn
0.2362 1.1284 2.4289 F
0.4607 2.6777 4.9717 F
1.0101 5.6174 0.3901 F
1.6527 3.5780 2.7653 F
2.4023 1.8605 0.4900 F
2.5019 0.4485 4.2922 F
3.1954 5.5629 1.8791 F
3.2950 4.1509 5.6813 F
4.0446 2.4333 3.4060 F
4.6872 0.3940 5.7811 F
5.2366 3.3337 1.1996 F
5.4610 4.8830 3.7424 F
```

Principal peaks in the range 2θ from 15° to 90°, in order of falling intensity:
- 20.83 deg, I = 100
- 20.61 deg, I = 99
- 21.26 deg, I = 55
- 20.29 deg, I = 48
- 35.94 deg, I = 45
- 35.62 deg, I = 40
- 46.82 deg, I = 33
- 28.94 deg, I = 33
- 29.24 deg, I = 32
- 37.08 deg, I = 29
- 30.28 deg, I = 28
- 47.22 deg, I = 27

Structure and theoretical powder diffractogram of LiMnF3 (a DFT-relaxed cell (PBE+U, the Materials Project); copper Kα).
Kinematic intensities with the Lorentz-polarization factor, no thermal factor.

Crystal structure
```
LiMnF3
1.0
1.5309 -4.9454 0.0000
1.5309 4.9454 0.0000
0.0000 0.0000 7.7182
Li Mn F
2 2 6
Cartesian
1.5309 2.5861 5.7887 Li
1.5309 -2.5861 1.9296 Li
1.5309 0.0000 0.0000 Mn
1.5309 0.0000 3.8591 Mn
1.5309 3.6049 0.5880 F
1.5309 3.6049 3.2711 F
1.5309 1.0477 1.9296 F
1.5309 -1.0477 5.7887 F
1.5309 -3.6049 4.4471 F
1.5309 -3.6049 7.1302 F
```

Principal peaks in the range 2θ from 15° to 90°, in order of falling intensity:
- 17.94 deg, I = 100
- 46.84 deg, I = 76
- 29.36 deg, I = 65
- 23.05 deg, I = 63
- 40.20 deg, I = 62
- 30.57 deg, I = 42
- 57.19 deg, I = 36
- 60.68 deg, I = 35
- 39.48 deg, I = 33
- 47.08 deg, I = 18
- 41.94 deg, I = 17
- 60.48 deg, I = 16

Structure and theoretical powder diffractogram of Li3MnF5 (a DFT-relaxed cell (PBE+U, the Materials Project); copper Kα).
Kinematic intensities with the Lorentz-polarization factor, no thermal factor.

Crystal structure
```
Li3MnF5
1.0
5.8624 0.0000 0.0000
0.0000 6.0327 0.0000
0.0000 0.0000 10.8402
Li Mn F
12 4 20
Cartesian
0.0608 0.2512 2.4944 Li
0.3631 0.7868 7.9379 Li
1.4182 1.0281 5.3562 Li
1.5130 5.0045 10.7763 Li
2.5680 5.2459 2.5178 Li
2.8704 5.7815 7.9145 Li
2.9920 2.7652 8.3458 Li
3.2943 2.2296 2.9023 Li
4.3494 1.9882 5.4840 Li
4.4442 4.0445 0.0639 Li
5.4992 3.8031 8.3224 Li
5.8016 3.2675 2.9257 Li
1.1509 2.1007 0.4187 Mn
1.7802 3.9320 5.8388 Mn
4.0821 0.9157 10.4215 Mn
4.7114 5.1170 5.0014 Mn
0.0422 0.1340 0.4903 F
0.3431 3.6089 10.0844 F
0.9743 5.3859 4.1189 F
1.1440 4.8476 7.6388 F
1.3302 3.8876 1.7984 F
1.6010 2.1451 7.2185 F
1.7871 1.1850 2.2187 F
1.9569 0.6468 9.5390 F
2.5880 2.4238 4.6643 F
2.8890 5.8986 5.9104 F
2.9734 2.8823 10.3499 F
3.2743 5.4401 0.7558 F
3.9055 3.6631 6.7213 F
4.0752 4.2014 3.2014 F
4.2614 5.1614 9.0418 F
4.5322 0.8712 3.6217 F
4.7183 1.8313 8.6215 F
4.8881 2.3695 1.3012 F
5.5192 0.5926 6.1759 F
5.8202 3.1503 4.9298 F
```

Principal peaks in the range 2θ from 15° to 90°, in order of falling intensity:
- 16.82 deg, I = 100
- 16.35 deg, I = 88
- 41.95 deg, I = 72
- 37.95 deg, I = 54
- 26.84 deg, I = 49
- 47.17 deg, I = 37
- 38.89 deg, I = 36
- 39.58 deg, I = 34
- 22.34 deg, I = 32
- 35.03 deg, I = 28
- 21.13 deg, I = 23
- 50.88 deg, I = 20

Structure and theoretical powder diffractogram of LiMnF5 (a DFT-relaxed cell (PBE+U, the Materials Project); copper Kα).
Kinematic intensities with the Lorentz-polarization factor, no thermal factor.

Crystal structure
```
LiMnF5
1.0
5.6640 0.0000 0.0000
0.0000 7.8809 0.0000
0.0000 0.0000 8.2220
Li Mn F
4 4 20
Cartesian
1.3460 1.7767 1.2658 Li
1.4860 6.1043 5.3768 Li
4.1779 2.1638 6.9562 Li
4.3180 5.7171 2.8452 Li
0.1094 4.7201 8.1918 Mn
2.7225 3.1608 4.0808 Mn
2.9414 7.1012 0.0302 Mn
5.5545 0.7797 4.1411 Mn
0.0276 4.8236 1.7869 F
0.2450 4.9311 6.3831 F
0.9366 2.3793 4.1529 F
0.9712 3.1334 8.1908 F
1.4121 7.7211 4.2430 F
1.4199 0.1598 0.1320 F
1.8608 4.7475 4.0798 F
1.8954 5.5016 0.0419 F
2.5870 2.9498 2.2721 F
2.8043 3.0573 5.8979 F
2.8596 6.9978 6.4351 F
3.0770 6.8902 1.8388 F
3.7686 1.5611 4.0691 F
3.8032 0.8071 0.0312 F
4.2441 4.1002 3.9790 F
4.2519 3.7807 8.0900 F
4.6928 7.0738 4.1422 F
4.7274 6.3198 8.1801 F
5.4190 0.9907 5.9498 F
5.6363 0.8831 2.3241 F
```

Principal peaks in the range 2θ from 15° to 90°, in order of falling intensity:
- 22.15 deg, I = 100
- 15.58 deg, I = 57
- 27.58 deg, I = 54
- 21.62 deg, I = 51
- 44.06 deg, I = 22
- 48.55 deg, I = 21
- 35.41 deg, I = 15
- 53.84 deg, I = 15
- 52.77 deg, I = 11
- 62.17 deg, I = 9
- 38.23 deg, I = 9
- 72.02 deg, I = 9

Structure and theoretical powder diffractogram of LiMnF3 (a DFT-relaxed cell (PBE+U, the Materials Project); copper Kα).
Kinematic intensities with the Lorentz-polarization factor, no thermal factor.

Crystal structure
```
LiMnF3
1.0
2.9875 1.7248 11.6433
-2.9875 1.7248 11.6433
0.0000 -3.4497 11.6433
Li Mn F
6 6 18
Cartesian
-2.0495 -0.1001 14.5541 Li
-0.9380 -1.8250 20.3758 Li
1.1115 -1.7248 14.5541 Li
-1.1115 1.7248 20.3758 Li
0.9380 1.8250 14.5541 Li
2.0495 0.1001 20.3758 Li
0.0000 0.0000 0.0000 Mn
0.0000 0.0000 5.4408 Mn
0.0000 0.0000 12.0241 Mn
0.0000 0.0000 17.4649 Mn
0.0000 0.0000 22.9057 Mn
0.0000 0.0000 29.4891 Mn
2.1171 0.0396 22.4112 F
-2.1171 -0.0396 12.5186 F
0.0000 0.0000 3.1993 F
-1.9633 -0.1284 16.5896 F
-0.8704 -1.7645 18.3403 F
0.0000 0.0000 8.7325 F
-1.0242 -1.8533 22.4112 F
1.0929 -1.8136 12.5186 F
0.0000 0.0000 14.2656 F
1.0929 -1.6361 16.5896 F
-1.0929 1.6361 18.3403 F
0.0000 0.0000 20.6643 F
-1.0929 1.8136 22.4112 F
1.0242 1.8533 12.5186 F
0.0000 0.0000 26.1974 F
0.8704 1.7645 16.5896 F
1.9633 0.1284 18.3403 F
0.0000 0.0000 31.7305 F
```

Principal peaks in the range 2θ from 15° to 90°, in order of falling intensity:
- 15.22 deg, I = 100
- 29.91 deg, I = 61
- 43.40 deg, I = 59
- 53.10 deg, I = 48
- 55.56 deg, I = 27
- 30.72 deg, I = 19
- 33.72 deg, I = 19
- 38.01 deg, I = 17
- 30.90 deg, I = 17
- 26.71 deg, I = 14
- 62.60 deg, I = 13
- 70.91 deg, I = 11